The following is a calculated powder diffractogram of LaTl2Te5. It was derived from the PBE geometry in Alexandria, using a wavelength of 1.5418 Å.

The 6 most intense peaks (10° ≤ 2θ ≤ 80°), most intense first:
2theta, Rel. int., h k l
28.86, 100, 1 3 0
32.10, 57, 1 1 6
39.05, 53, 1 3 6
34.87, 39, 2 0 0
25.73, 36, 0 0 6
17.08, 31, 0 0 4

Cell and atoms:
```
data_LaTl2Te5
_chemical_formula_sum 'La4 Tl8 Te20'
_symmetry_space_group_name_H-M 'C m c m'
_symmetry_Int_Tables_number 63
_symmetry_space_group_name_Hall '-C 2c 2'
_cell_length_a 5.1458
_cell_length_b 11.6166
_cell_length_c 20.7710
_cell_angle_alpha 90.00
_cell_angle_beta 90.00
_cell_angle_gamma 90.00
loop_
_atom_site_label
_atom_site_type_symbol
_atom_site_fract_x
_atom_site_fract_y
_atom_site_fract_z
La1 La 0.0000 0.1425 0.2500
Tl1 Tl 0.0000 0.1575 0.5921
Te1 Te 0.0000 0.1355 0.0955
Te2 Te 0.0000 0.1559 0.7500
Te3 Te 0.0000 0.4568 0.6384
```


The following is a calculated powder diffractogram of La4Tl2Te. It was derived from the PBE geometry in Alexandria, using a wavelength of 1.5418 Å.

The 6 most intense peaks (10° ≤ 2θ ≤ 80°), most intense first:
2theta, Rel. int., h k l
28.82, 100, 3 1 0
34.28, 56, 3 2 1
28.96, 44, 1 0 3
34.37, 40, 2 1 3
58.06, 29, 6 1 1
43.40, 19, 3 2 3

Cell and atoms:
```
data_La4Tl2Te
_chemical_formula_sum 'La16 Tl8 Te4'
_symmetry_space_group_name_H-M 'I -4 2 d'
_symmetry_Int_Tables_number 122
_symmetry_space_group_name_Hall 'I -4 2bw'
_cell_length_a 9.7981
_cell_length_b 9.7981
_cell_length_c 9.7436
_cell_angle_alpha 90.00
_cell_angle_beta 90.00
_cell_angle_gamma 90.00
loop_
_atom_site_label
_atom_site_type_symbol
_atom_site_fract_x
_atom_site_fract_y
_atom_site_fract_z
La1 La 0.0732 0.6797 0.4464
Tl1 Tl 0.1270 0.7500 0.1250
Te1 Te 0.0000 0.0000 0.5000
```


The following is a calculated powder diffractogram of LaTl9Te6. It was derived from the PBE geometry in Alexandria, using a wavelength of 1.5418 Å.

The 6 most intense peaks (10° ≤ 2θ ≤ 80°), most intense first:
2theta, Rel. int., h k l
29.68, 100, 2 1 3
31.33, 52, 1 3 0
58.74, 20, 2 5 3
39.93, 15, 0 0 6
51.61, 14, 1 3 6
29.86, 13, 1 1 4

Cell and atoms:
```
data_LaTl9Te6
_chemical_formula_sum 'La2 Tl18 Te12'
_symmetry_space_group_name_H-M 'I 4/m'
_symmetry_Int_Tables_number 87
_symmetry_space_group_name_Hall '-I 4'
_cell_length_a 9.0290
_cell_length_b 9.0290
_cell_length_c 13.5470
_cell_angle_alpha 90.00
_cell_angle_beta 90.00
_cell_angle_gamma 90.00
loop_
_atom_site_label
_atom_site_type_symbol
_atom_site_fract_x
_atom_site_fract_y
_atom_site_fract_z
La1 La 0.0000 0.0000 0.0000
Tl1 Tl 0.0000 0.0000 0.5000
Tl2 Tl 0.1388 0.3437 0.3424
Te1 Te 0.0000 0.0000 0.2389
Te2 Te 0.1519 0.3298 0.0000
```


Copy entry 1 word for word.
The following is a calculated powder diffractogram of LaTl2Te5. It was derived from the PBE geometry in Alexandria, using a wavelength of 1.5418 Å.

The 6 most intense peaks (10° ≤ 2θ ≤ 80°), most intense first:
2theta, Rel. int., h k l
28.86, 100, 1 3 0
32.10, 57, 1 1 6
39.05, 53, 1 3 6
34.87, 39, 2 0 0
25.73, 36, 0 0 6
17.08, 31, 0 0 4

Cell and atoms:
```
data_LaTl2Te5
_chemical_formula_sum 'La4 Tl8 Te20'
_symmetry_space_group_name_H-M 'C m c m'
_symmetry_Int_Tables_number 63
_symmetry_space_group_name_Hall '-C 2c 2'
_cell_length_a 5.1458
_cell_length_b 11.6166
_cell_length_c 20.7710
_cell_angle_alpha 90.00
_cell_angle_beta 90.00
_cell_angle_gamma 90.00
loop_
_atom_site_label
_atom_site_type_symbol
_atom_site_fract_x
_atom_site_fract_y
_atom_site_fract_z
La1 La 0.0000 0.1425 0.2500
Tl1 Tl 0.0000 0.1575 0.5921
Te1 Te 0.0000 0.1355 0.0955
Te2 Te 0.0000 0.1559 0.7500
Te3 Te 0.0000 0.4568 0.6384
```